(1)
Structure and theoretical X-ray diffraction stick pattern of Rb2PaAgO4 (DFT lattice parameters and positions (PBE); copper Kα).

```
data_Rb2PaAgO4
_cell_length_a 6.4913
_cell_length_b 6.4913
_cell_length_c 8.4186
_cell_angle_alpha 90.00
_cell_angle_beta 90.00
_cell_angle_gamma 90.00
_space_group_name_H-M_alt 'I -4'
_space_group_IT_number 82
loop_
_space_group_symop_operation_xyz
'x,y,z'
'y,-x,-z'
'-x,-y,z'
'-y,x,-z'
'x+1/2,y+1/2,z+1/2'
'y+1/2,-x+1/2,-z+1/2'
'-x+1/2,-y+1/2,z+1/2'
'-y+1/2,x+1/2,-z+1/2'
loop_
_atom_site_label
_atom_site_type_symbol
_atom_site_fract_x
_atom_site_fract_y
_atom_site_fract_z
Rb1 Rb 0.0000 0.0000 0.0000
Rb2 Rb 0.0000 0.5000 0.2500
Pa1 Pa 0.0000 0.0000 0.5000
Ag1 Ag 0.0000 0.5000 0.7500
O1 O 0.1681 0.2177 0.6244
```

Main lines, sorted by position (2θ from 10° to 80°):
2θ 17.25, d 5.141, I 32
2θ 27.48, d 3.246, I 45
2θ 28.78, d 3.102, I 100
2θ 39.26, d 2.295, I 24
2θ 49.40, d 1.845, I 44
2θ 51.77, d 1.766, I 22
2θ 59.60, d 1.551, I 11
2θ 64.16, d 1.452, I 10
2θ 64.84, d 1.438, I 10
2θ 78.49, d 1.219, I 11

(2)
Structure and theoretical X-ray diffraction stick pattern of Mg3BeAl8O16 (DFT lattice parameters and positions (PBE); copper Kα).

```
data_Mg3BeAl8O16
_cell_length_a 5.7205
_cell_length_b 5.7205
_cell_length_c 18.5806
_cell_angle_alpha 90.00
_cell_angle_beta 90.00
_cell_angle_gamma 120.00
_space_group_name_H-M_alt 'P 63 m c'
_space_group_IT_number 186
_space_group_name_Hall 'P 6c -2c'
loop_
_atom_site_label
_atom_site_type_symbol
_atom_site_fract_x
_atom_site_fract_y
_atom_site_fract_z
Mg1 Mg 0.0000 0.0000 0.0000
Mg2 Mg 0.3333 0.6667 0.2492
Mg3 Mg 0.3333 0.6667 0.4375
Be1 Be 0.3333 0.6667 0.7001
Al1 Al 0.0000 0.0000 0.2097
Al2 Al 0.0039 0.5019 0.0948
Al3 Al 0.1649 0.3298 0.8401
Al4 Al 0.3333 0.6667 0.9670
O1 O 0.0000 0.0000 0.3947
O2 O 0.0356 0.5178 0.8997
O3 O 0.1475 0.2950 0.2809
O4 O 0.1788 0.3576 0.6568
O5 O 0.1848 0.3696 0.0337
O6 O 0.3333 0.6667 0.1458
O7 O 0.3333 0.6667 0.5441
O8 O 0.3333 0.6667 0.7851
```

Main lines, sorted by position (2θ from 10° to 80°):
2θ 20.31, d 4.371, I 36
2θ 34.14, d 2.626, I 46
2θ 36.91, d 2.436, I 100
2θ 37.58, d 2.393, I 29
2θ 43.93, d 2.061, I 74
2θ 46.97, d 1.934, I 44
2θ 57.52, d 1.602, I 35
2θ 62.48, d 1.486, I 60
2θ 65.24, d 1.430, I 88
2θ 67.07, d 1.396, I 35

(3)
Structure and theoretical X-ray diffraction stick pattern of LaTb3Sm7 (DFT lattice parameters and positions (PBE); copper Kα).

```
data_LaTb3Sm7
_cell_length_a 7.0678
_cell_length_b 5.6633
_cell_length_c 10.0273
_cell_angle_alpha 90.00
_cell_angle_beta 109.53
_cell_angle_gamma 90.00
_space_group_name_H-M_alt 'P 1 2/m 1'
_space_group_IT_number 10
loop_
_space_group_symop_operation_xyz
'x,y,z'
'-x,-y,-z'
'-x,y,-z'
'x,-y,z'
loop_
_atom_site_label
_atom_site_type_symbol
_atom_site_fract_x
_atom_site_fract_y
_atom_site_fract_z
La1 La 0.0000 0.0000 0.0000
Tb1 Tb 0.2770 0.5000 0.4975
Tb2 Tb 0.5000 0.0000 0.0000
Sm1 Sm 0.0000 0.0000 0.5000
Sm2 Sm 0.1446 0.5000 0.7899
Sm3 Sm 0.3286 0.5000 0.1418
Sm4 Sm 0.4227 0.0000 0.3313
```

Main lines, sorted by position (2θ from 10° to 80°):
2θ 30.95, d 2.890, I 38
2θ 31.15, d 2.871, I 98
2θ 31.32, d 2.856, I 78
2θ 31.45, d 2.844, I 95
2θ 31.60, d 2.832, I 98
2θ 31.92, d 2.804, I 29
2θ 32.53, d 2.753, I 100
2θ 45.09, d 2.011, I 23
2θ 56.15, d 1.638, I 27
2θ 61.92, d 1.499, I 41

Question: What is the formula in the first record?
Answer: Rb2PaAgO4